# 1
This entry pairs a crystal structure of Nd3Re2O9 with its theoretical powder X-ray diffraction pattern. Radiation: λ = 1.5418 Å (Cu Kα). Structure: a PBE-relaxed structure.
Peak positions follow from Bragg's law for the DFT cell and can differ from measured ones.

Cell and atoms:
```
Nd3Re2O9
1.0
5.6173 0.0000 0.0000
2.5114 6.4474 0.0000
2.7575 1.6074 10.5982
Nd Re O
6 4 18
direct
0.0108 0.2133 0.2698 Nd
0.2304 0.1551 0.8842 Nd
0.2965 0.6035 0.3714 Nd
0.7035 0.3965 0.6286 Nd
0.7696 0.8449 0.1158 Nd
0.9892 0.7867 0.7302 Nd
0.3480 0.1257 0.5683 Re
0.4812 0.6125 0.9077 Re
0.5188 0.3875 0.0923 Re
0.6520 0.8743 0.4317 Re
0.0621 0.1151 0.7188 O
0.0790 0.2108 0.4738 O
0.1316 0.8107 0.9396 O
0.1875 0.4969 0.1987 O
0.2886 0.4211 0.5793 O
0.3445 0.4743 0.8188 O
0.3952 0.1681 0.0736 O
0.4027 0.8113 0.5939 O
0.4134 0.9251 0.3140 O
0.5866 0.0749 0.6860 O
0.5973 0.1887 0.4061 O
0.6048 0.8319 0.9264 O
0.6555 0.5257 0.1812 O
0.7114 0.5789 0.4207 O
0.8125 0.5031 0.8013 O
0.8684 0.1893 0.0604 O
0.9210 0.7892 0.5262 O
0.9379 0.8849 0.2812 O
```

Peak list (12 most intense, 2θ = 15–90°, in order of rising 2θ)
2θ (°)	d/Å	Rel. int.
17.24	5.142	21
17.80	4.984	18
25.54	3.488	17
26.27	3.392	39
26.59	3.352	100
27.72	3.218	63
30.48	2.932	20
31.30	2.858	20
31.90	2.806	50
41.09	2.197	18
45.66	1.987	19
54.99	1.670	17



# 2
This entry pairs a crystal structure of Tb2Ho8Tm with its theoretical powder X-ray diffraction pattern. Radiation: λ = 1.5418 Å (Cu Kα). Structure: a PBE-relaxed structure.
Peak positions follow from Bragg's law for the DFT cell and can differ from measured ones.

Cell and atoms:
```
Tb2Ho8Tm
1.0
8.5361 -3.3301 0.0000
8.5361 3.3301 0.0000
-2.1598 0.0000 6.0465
Tb Ho Tm
2 8 1
direct
0.2179 0.2179 0.1082 Tb
0.7821 0.7821 0.8918 Tb
0.0597 0.0597 0.2468 Ho
0.1599 0.6367 0.3090 Ho
0.2915 0.2915 0.6740 Ho
0.3633 0.8401 0.6910 Ho
0.6367 0.1599 0.3090 Ho
0.7085 0.7085 0.3260 Ho
0.8401 0.3633 0.6910 Ho
0.9403 0.9403 0.7532 Ho
0.5000 0.5000 0.0000 Tm
```

Peak list (12 most intense, 2θ = 15–90°, in order of rising 2θ)
2θ (°)	d/Å	Rel. int.
29.00	3.079	51
29.55	3.023	19
30.44	2.937	17
30.60	2.921	37
30.87	2.897	82
31.66	2.826	100
34.37	2.610	33
34.70	2.585	36
34.99	2.564	61
53.12	1.724	19
55.16	1.665	18
65.16	1.432	16



# 3
This entry pairs a crystal structure of Nd3Er2Tl6 with its theoretical powder X-ray diffraction pattern. Radiation: λ = 1.5418 Å (Cu Kα). Structure: a PBE-relaxed structure.
Peak positions follow from Bragg's law for the DFT cell and can differ from measured ones.

Cell and atoms:
```
Nd3Er2Tl6
1.0
-2.4213 2.4213 14.5416
2.4213 -2.4213 14.5416
2.4213 2.4213 -14.5416
Nd Er Tl
3 2 6
direct
0.0000 0.0000 0.0000 Nd
0.1982 0.1982 0.0000 Nd
0.8018 0.8018 0.0000 Nd
0.4461 0.4461 0.0000 Er
0.5539 0.5539 0.0000 Er
0.1162 0.6162 0.5000 Tl
0.3066 0.3066 0.0000 Tl
0.3838 0.8838 0.5000 Tl
0.6162 0.1162 0.5000 Tl
0.6934 0.6934 0.0000 Tl
0.8838 0.3838 0.5000 Tl
```

Peak list (12 most intense, 2θ = 15–90°, in order of rising 2θ)
2θ (°)	d/Å	Rel. int.
28.30	3.153	13
28.82	3.098	100
30.74	2.908	13
32.00	2.797	20
33.33	2.688	17
36.03	2.493	99
37.13	2.422	89
48.95	1.861	15
53.51	1.712	44
61.92	1.499	24
64.05	1.454	16
66.22	1.411	35



# 4
This entry pairs a crystal structure of LiPaFeN3 with its theoretical powder X-ray diffraction pattern. Radiation: λ = 1.5418 Å (Cu Kα). Structure: a PBE-relaxed structure.
Peak positions follow from Bragg's law for the DFT cell and can differ from measured ones.

Cell and atoms:
```
LiPaFeN3
1.0
5.6905 0.0000 0.0000
0.0000 3.3233 0.0000
-1.5864 0.0000 7.1785
Li Pa Fe N
2 2 2 6
direct
0.0794 0.2500 0.4070 Li
0.9206 0.7500 0.5930 Li
0.4734 0.7500 0.7172 Pa
0.5266 0.2500 0.2828 Pa
0.0837 0.2500 0.9156 Fe
0.9163 0.7500 0.0844 Fe
0.1936 0.2500 0.6953 N
0.2154 0.7500 0.0123 N
0.3371 0.7500 0.3978 N
0.6629 0.2500 0.6022 N
0.7846 0.2500 0.9877 N
0.8064 0.7500 0.3047 N
```

Peak list (12 most intense, 2θ = 15–90°, in order of rising 2θ)
2θ (°)	d/Å	Rel. int.
15.95	5.556	72
22.25	3.996	29
24.81	3.589	28
26.50	3.364	38
29.62	3.016	37
32.22	2.778	24
32.48	2.757	100
35.12	2.555	39
36.37	2.470	23
42.18	2.142	20
46.78	1.942	33
55.85	1.646	22